1.
Diffraction record for Rb2CeAgCl6. The powder XRD pattern is theoretical, not measured: it uses a cell relaxed with GGA-PBE and a wavelength of 1.5418 Å.
Intensities are scaled so that the largest is 100.

Most intense lines, 5 to 70 degrees two-theta, in order of falling intensity:
two_theta  Rel. int.
22.92  100
32.64  68
40.26  47
46.83  47
63.43  24
16.15  23

Unit cell a=7.7603 b=7.7603 c=7.7603 alpha=60.00 beta=60.00 gamma=60.00
Atoms (fractional coordinates):
Rb 0.2500 0.2500 0.2500
Rb 0.7500 0.7500 0.7500
Ce 0.0000 0.0000 0.0000
Ag 0.5000 0.5000 0.5000
Cl 0.2498 0.2498 0.7502
Cl 0.2498 0.7502 0.2498
Cl 0.2498 0.7502 0.7502
Cl 0.7502 0.2498 0.2498
Cl 0.7502 0.2498 0.7502
Cl 0.7502 0.7502 0.2498

=====

2.
Diffraction record for Cs2CeAgI6. The powder XRD pattern is theoretical, not measured: it uses a cell relaxed with GGA-PBE and a wavelength of 1.5418 Å.
Intensities are scaled so that the largest is 100.

Most intense lines, 5 to 70 degrees two-theta, in order of falling intensity:
two_theta  Rel. int.
28.87  100
41.29  75
24.94  70
67.76  34
48.84  33
51.17  26

Unit cell a=8.7462 b=8.7462 c=8.7462 alpha=60.00 beta=60.00 gamma=60.00
Atoms (fractional coordinates):
Cs 0.2500 0.2500 0.2500
Cs 0.7500 0.7500 0.7500
Ce 0.0000 0.0000 0.0000
Ag 0.5000 0.5000 0.5000
I 0.2531 0.2531 0.7469
I 0.2531 0.7469 0.2531
I 0.2531 0.7469 0.7469
I 0.7469 0.2531 0.2531
I 0.7469 0.2531 0.7469
I 0.7469 0.7469 0.2531

=====

3.
Diffraction record for CeCu5Ag. The powder XRD pattern is theoretical, not measured: it uses a cell relaxed with GGA-PBE and a wavelength of 1.5418 Å.
Intensities are scaled so that the largest is 100.

Most intense lines, 5 to 70 degrees two-theta, in order of falling intensity:
two_theta  Rel. int.
38.34  100
45.07  41
45.87  28
36.34  24
35.57  22
42.92  20

Unit cell a=8.2389 b=5.0474 c=10.3665 alpha=90.00 beta=90.00 gamma=90.00
Atoms (fractional coordinates):
Ce 0.2425 0.2500 0.0643
Ce 0.2575 0.7500 0.5643
Ce 0.7425 0.2500 0.4357
Ce 0.7575 0.7500 0.9357
Cu 0.0556 0.7500 0.1051
Cu 0.0651 0.0014 0.3125
Cu 0.0651 0.4986 0.3125
Cu 0.0903 0.2500 0.5162
Cu 0.1853 0.2500 0.7479
Cu 0.3147 0.7500 0.2479
Cu 0.4097 0.7500 0.0162
Cu 0.4349 0.5014 0.8125
Cu 0.4349 0.9986 0.8125
Cu 0.4444 0.2500 0.6051
Cu 0.5556 0.7500 0.3949
Cu 0.5651 0.0014 0.1875
Cu 0.5651 0.4986 0.1875
Cu 0.5903 0.2500 0.9838
Cu 0.6853 0.2500 0.7521
Cu 0.8147 0.7500 0.2521
Cu 0.9097 0.7500 0.4838
Cu 0.9349 0.5014 0.6875
Cu 0.9349 0.9986 0.6875
Cu 0.9444 0.2500 0.8949
Ag 0.1408 0.7500 0.8608
Ag 0.3592 0.2500 0.3608
Ag 0.6408 0.7500 0.6392
Ag 0.8592 0.2500 0.1392

=====

4.
Diffraction record for CeEuAg2. The powder XRD pattern is theoretical, not measured: it uses a cell relaxed with GGA-PBE and a wavelength of 1.5418 Å.
Intensities are scaled so that the largest is 100.

Most intense lines, 5 to 70 degrees two-theta, in order of falling intensity:
two_theta  Rel. int.
31.86  100
56.77  37
45.68  18
66.58  11
22.38  2
51.44  1

Unit cell a=7.9449 b=7.9449 c=7.9449 alpha=90.00 beta=90.00 gamma=90.00
Atoms (fractional coordinates):
Ce 0.0000 0.0000 0.0000
Ce 0.0000 0.5000 0.5000
Ce 0.5000 0.0000 0.5000
Ce 0.5000 0.5000 0.0000
Eu 0.0000 0.0000 0.5000
Eu 0.0000 0.5000 0.0000
Eu 0.5000 0.0000 0.0000
Eu 0.5000 0.5000 0.5000
Ag 0.2500 0.2500 0.2500
Ag 0.2500 0.2500 0.7500
Ag 0.2500 0.7500 0.2500
Ag 0.2500 0.7500 0.7500
Ag 0.7500 0.2500 0.2500
Ag 0.7500 0.2500 0.7500
Ag 0.7500 0.7500 0.2500
Ag 0.7500 0.7500 0.7500

=====

5.
Diffraction record for K2CeAgF6. The powder XRD pattern is theoretical, not measured: it uses a cell relaxed with GGA-PBE and a wavelength of 1.5418 Å.
Intensities are scaled so that the largest is 100.

Most intense lines, 5 to 70 degrees two-theta, in order of falling intensity:
two_theta  Rel. int.
26.70  100
18.79  59
38.12  45
47.15  41
42.82  28
55.01  28

Unit cell a=6.6777 b=6.6777 c=6.6777 alpha=60.00 beta=60.00 gamma=60.00
Atoms (fractional coordinates):
K 0.2500 0.2500 0.2500
K 0.7500 0.7500 0.7500
Ce 0.0000 0.0000 0.0000
Ag 0.5000 0.5000 0.5000
F 0.2407 0.2407 0.7593
F 0.2407 0.7593 0.2407
F 0.2407 0.7593 0.7593
F 0.7593 0.2407 0.2407
F 0.7593 0.2407 0.7593
F 0.7593 0.7593 0.2407

=====

6.
Diffraction record for CeAgGe. The powder XRD pattern is theoretical, not measured: it uses a cell relaxed with GGA-PBE and a wavelength of 1.5418 Å.
Intensities are scaled so that the largest is 100.

Most intense lines, 5 to 70 degrees two-theta, in order of falling intensity:
two_theta  Rel. int.
32.75  100
39.39  61
52.13  26
67.25  24
63.90  24
48.15  9

Unit cell a=4.5749 b=4.5749 c=7.5592 alpha=90.00 beta=90.00 gamma=120.00
Atoms (fractional coordinates):
Ce 0.0000 0.0000 0.0000
Ce 0.0000 0.0000 0.5000
Ag 0.3333 0.6667 0.2308
Ag 0.6667 0.3333 0.7308
Ge 0.3333 0.6667 0.7768
Ge 0.6667 0.3333 0.2768

=====

7.
Diffraction record for Ce3AgGeS7. The powder XRD pattern is theoretical, not measured: it uses a cell relaxed with GGA-PBE and a wavelength of 1.5418 Å.
Intensities are scaled so that the largest is 100.

Most intense lines, 5 to 70 degrees two-theta, in order of falling intensity:
two_theta  Rel. int.
24.94  100
34.55  62
40.59  56
36.01  47
46.69  41
26.22  41

Unit cell a=10.3841 b=10.3841 c=5.8745 alpha=90.00 beta=90.00 gamma=120.00
Atoms (fractional coordinates):
Ce 0.1286 0.3596 0.0000
Ce 0.2310 0.8714 0.0000
Ce 0.3596 0.2310 0.5000
Ce 0.6404 0.7690 0.0000
Ce 0.7690 0.1286 0.5000
Ce 0.8714 0.6404 0.5000
Ag 0.0000 0.0000 0.0571
Ag 0.0000 0.0000 0.5571
Ge 0.3333 0.6667 0.4182
Ge 0.6667 0.3333 0.9182
S 0.0965 0.2678 0.5211
S 0.1068 0.5851 0.2621
S 0.1714 0.9035 0.5211
S 0.2678 0.1714 0.0211
S 0.3333 0.6667 0.7946
S 0.4149 0.5217 0.2621
S 0.4783 0.8932 0.2621
S 0.5217 0.1068 0.7621
S 0.5851 0.4783 0.7621
S 0.6667 0.3333 0.2946
S 0.7322 0.8286 0.5211
S 0.8286 0.0965 0.0211
S 0.8932 0.4149 0.7621
S 0.9035 0.7322 0.0211

=====

8.
Diffraction record for CeAgHg2. The powder XRD pattern is theoretical, not measured: it uses a cell relaxed with GGA-PBE and a wavelength of 1.5418 Å.
Intensities are scaled so that the largest is 100.

Most intense lines, 5 to 70 degrees two-theta, in order of falling intensity:
two_theta  Rel. int.
34.90  100
62.59  37
50.19  18
24.49  6
56.61  3
43.10  2

Unit cell a=7.2707 b=7.2707 c=7.2707 alpha=90.00 beta=90.00 gamma=90.00
Atoms (fractional coordinates):
Ce 0.0000 0.0000 0.0000
Ce 0.0000 0.5000 0.5000
Ce 0.5000 0.0000 0.5000
Ce 0.5000 0.5000 0.0000
Ag 0.0000 0.0000 0.5000
Ag 0.0000 0.5000 0.0000
Ag 0.5000 0.0000 0.0000
Ag 0.5000 0.5000 0.5000
Hg 0.2500 0.2500 0.2500
Hg 0.2500 0.2500 0.7500
Hg 0.2500 0.7500 0.2500
Hg 0.2500 0.7500 0.7500
Hg 0.7500 0.2500 0.2500
Hg 0.7500 0.2500 0.7500
Hg 0.7500 0.7500 0.2500
Hg 0.7500 0.7500 0.7500

=====

9.
Diffraction record for Ce2AgHg. The powder XRD pattern is theoretical, not measured: it uses a cell relaxed with GGA-PBE and a wavelength of 1.5418 Å.
Intensities are scaled so that the largest is 100.

Most intense lines, 5 to 70 degrees two-theta, in order of falling intensity:
two_theta  Rel. int.
33.36  100
59.61  37
47.89  18
20.24  5
39.33  3
52.50  1

Unit cell a=7.5979 b=7.5979 c=7.5979 alpha=90.00 beta=90.00 gamma=90.00
Atoms (fractional coordinates):
Ce 0.2500 0.2500 0.2500
Ce 0.2500 0.2500 0.7500
Ce 0.2500 0.7500 0.2500
Ce 0.2500 0.7500 0.7500
Ce 0.7500 0.2500 0.2500
Ce 0.7500 0.2500 0.7500
Ce 0.7500 0.7500 0.2500
Ce 0.7500 0.7500 0.7500
Ag 0.0000 0.0000 0.0000
Ag 0.0000 0.5000 0.5000
Ag 0.5000 0.0000 0.5000
Ag 0.5000 0.5000 0.0000
Hg 0.0000 0.0000 0.5000
Hg 0.0000 0.5000 0.0000
Hg 0.5000 0.0000 0.0000
Hg 0.5000 0.5000 0.5000

=====

10.
Diffraction record for K2CeAgI6. The powder XRD pattern is theoretical, not measured: it uses a cell relaxed with GGA-PBE and a wavelength of 1.5418 Å.
Intensities are scaled so that the largest is 100.

Most intense lines, 5 to 70 degrees two-theta, in order of falling intensity:
two_theta  Rel. int.
29.09  100
14.43  79
41.61  74
25.12  56
32.61  44
68.33  33

Unit cell a=8.6822 b=8.6822 c=8.6822 alpha=60.00 beta=60.00 gamma=60.00
Atoms (fractional coordinates):
K 0.2500 0.2500 0.2500
K 0.7500 0.7500 0.7500
Ce 0.0000 0.0000 0.0000
Ag 0.5000 0.5000 0.5000
I 0.2538 0.2538 0.7462
I 0.2538 0.7462 0.2538
I 0.2538 0.7462 0.7462
I 0.7462 0.2538 0.2538
I 0.7462 0.2538 0.7462
I 0.7462 0.7462 0.2538

=====

11.
Diffraction record for CeInAg2. The powder XRD pattern is theoretical, not measured: it uses a cell relaxed with GGA-PBE and a wavelength of 1.5418 Å.
Intensities are scaled so that the largest is 100.

Most intense lines, 5 to 70 degrees two-theta, in order of falling intensity:
two_theta  Rel. int.
35.55  100
63.84  34
51.15  17
21.55  1

Unit cell a=7.1426 b=7.1426 c=7.1426 alpha=90.00 beta=90.00 gamma=90.00
Atoms (fractional coordinates):
Ce 0.0000 0.0000 0.0000
Ce 0.0000 0.5000 0.5000
Ce 0.5000 0.0000 0.5000
Ce 0.5000 0.5000 0.0000
In 0.0000 0.0000 0.5000
In 0.0000 0.5000 0.0000
In 0.5000 0.0000 0.0000
In 0.5000 0.5000 0.5000
Ag 0.2500 0.2500 0.2500
Ag 0.2500 0.2500 0.7500
Ag 0.2500 0.7500 0.2500
Ag 0.2500 0.7500 0.7500
Ag 0.7500 0.2500 0.2500
Ag 0.7500 0.2500 0.7500
Ag 0.7500 0.7500 0.2500
Ag 0.7500 0.7500 0.7500

=====

12.
Diffraction record for KCeAgTe4. The powder XRD pattern is theoretical, not measured: it uses a cell relaxed with GGA-PBE and a wavelength of 1.5418 Å.
Intensities are scaled so that the largest is 100.

Most intense lines, 5 to 70 degrees two-theta, in order of falling intensity:
two_theta  Rel. int.
40.35  100
32.92  99
30.95  84
12.42  71
29.47  66
38.06  56

Unit cell a=4.4721 b=21.3765 c=4.4680 alpha=90.00 beta=90.00 gamma=90.00
Atoms (fractional coordinates):
K 0.0000 0.1491 0.0000
K 0.5000 0.8509 0.5000
Ce 0.0000 0.5976 0.9828
Ce 0.5000 0.4024 0.4828
Ag 0.0000 0.0002 0.5023
Ag 0.5000 0.9998 0.0023
Te 0.0000 0.2915 0.4852
Te 0.0000 0.4451 0.9820
Te 0.0000 0.7080 0.4844
Te 0.0000 0.9163 0.0016
Te 0.5000 0.0837 0.5016
Te 0.5000 0.2920 0.9844
Te 0.5000 0.5549 0.4820
Te 0.5000 0.7085 0.9852